The following is a computed powder X-ray diffraction pattern of NaCu2O2. It was derived from a GGA-PBE-relaxed structure, using Cu Kα, 1.54184 Å.

Largest 10 diffraction maxima, low angle first, 10° ≤ 2θ ≤ 90°:
2θ = 13.3°, rel. 26; 2θ = 16.1°, rel. 14; 2θ = 19.8°, rel. 25; 2θ = 35.9°, rel. 100; 2θ = 40.6°, rel. 21; 2θ = 42.2°, rel. 74; 2θ = 45.3°, rel. 15; 2θ = 60.0°, rel. 23; 2θ = 61.1°, rel. 21; 2θ = 73.0°, rel. 24

Cell and atoms:
```
data_NaCu2O2
_cell_length_a 6.0632
_cell_length_b 6.0632
_cell_length_c 13.3285
_cell_angle_alpha 90.00
_cell_angle_beta 90.00
_cell_angle_gamma 90.00
_space_group_name_H-M_alt 'P 42/n m c'
_space_group_IT_number 137
loop_
_space_group_symop_operation_xyz
'x,y,z'
'-x,-y,-z'
'-y+1/2,x,z+1/2'
'y+1/2,-x,-z+1/2'
'-x+1/2,-y+1/2,z'
'x+1/2,y+1/2,-z'
'y,-x+1/2,z+1/2'
'-y,x+1/2,-z+1/2'
'x+1/2,-y,-z'
'-x+1/2,y,z'
'-y,-x,-z+1/2'
'y,x,z+1/2'
'-x,y+1/2,-z'
'x,-y+1/2,z'
'y+1/2,x+1/2,-z+1/2'
'-y+1/2,-x+1/2,z+1/2'
loop_
_atom_site_label
_atom_site_fract_x
_atom_site_fract_y
_atom_site_fract_z
Na1 0.0130 0.2500 0.1727
Cu1 0.0025 0.7500 0.1370
Cu2 0.0038 0.7500 0.5079
O1 0.0311 0.2500 0.3531
O2 0.0334 0.7500 0.3700
```